Entry 1:
The following is a simulated powder X-ray diffraction pattern of NiSb2. It was derived from DFT lattice parameters and positions (PBE), using Cu Kα (λ = 1.5418 Å).

Structural model:
```
data_NiSb2
_symmetry_space_group_name_H-M 'P n m a'
_symmetry_Int_Tables_number 62
_symmetry_space_group_name_Hall '-P 2ac 2n'
_cell_length_a 12.7203
_cell_length_b 3.9045
_cell_length_c 5.4509
_cell_angle_alpha 90.00
_cell_angle_beta 90.00
_cell_angle_gamma 90.00
loop_
_atom_site_label
_atom_site_fract_x
_atom_site_fract_y
_atom_site_fract_z
Ni1 0.1350 0.2500 0.0713
Sb1 0.0617 0.7500 0.8087
Sb2 0.1902 0.7500 0.3465
```

Most intense lines, 5° ≤ 2θ ≤ 70°, by intensity:
| two_theta | intensity | hkl |
| --- | --- | --- |
| 31.5 | 1000 | 2 1 1 |
| 32.6 | 978 | 4 0 1 |
| 41.0 | 489 | 1 1 2 |
| 29.0 | 471 | 1 1 1 |
| 58.0 | 432 | 4 2 1 |
| 48.9 | 377 | 6 1 0 |
| 26.8 | 353 | 2 1 0 |
| 46.5 | 351 | 0 2 0 |
| 42.9 | 330 | 2 1 2 |
| 17.7 | 275 | 1 0 1 |



Entry 2:
The following is a simulated powder X-ray diffraction pattern of Cs2GaHgBi. It was derived from DFT lattice parameters and positions (PBE), using Cu Kα (λ = 1.5418 Å).

Structural model:
```
data_Cs2GaHgBi
_symmetry_space_group_name_H-M 'P 1 21/m 1'
_symmetry_Int_Tables_number 11
_symmetry_space_group_name_Hall '-P 2yb'
_cell_length_a 10.8288
_cell_length_b 4.7136
_cell_length_c 10.8836
_cell_angle_alpha 90.00
_cell_angle_beta 118.00
_cell_angle_gamma 90.00
loop_
_atom_site_label
_atom_site_fract_x
_atom_site_fract_y
_atom_site_fract_z
Cs1 0.1239 0.2500 0.3735
Cs2 0.3726 0.7500 0.1196
Ga1 0.2012 0.2500 0.7926
Hg1 0.0496 0.2500 0.9506
Bi1 0.2902 0.7500 0.7090
```

Most intense lines, 5° ≤ 2θ ≤ 70°, by intensity:
| two_theta | intensity | hkl |
| --- | --- | --- |
| 26.5 | 1000 | 2 1 0 |
| 25.0 | 514 | 3 0 -1 |
| 9.2 | 510 | 1 0 0 |
| 34.6 | 500 | 3 1 -3 |
| 32.0 | 315 | 2 0 2 |
| 24.8 | 237 | 1 0 -3 |
| 48.0 | 235 | 5 1 -1 |
| 16.3 | 230 | 2 0 -1 |
| 38.2 | 230 | 0 2 0 |
| 47.7 | 203 | 1 1 -5 |



Entry 3:
The following is a simulated powder X-ray diffraction pattern of K4Np3US8. It was derived from DFT lattice parameters and positions (PBE), using Cu Kα (λ = 1.5418 Å).

Structural model:
```
data_K4Np3US8
_symmetry_space_group_name_H-M 'R -3 m'
_symmetry_Int_Tables_number 166
_symmetry_space_group_name_Hall '-R 3 2"'
_cell_length_a 8.1476
_cell_length_b 8.1476
_cell_length_c 22.1226
_cell_angle_alpha 90.00
_cell_angle_beta 90.00
_cell_angle_gamma 120.00
loop_
_atom_site_label
_atom_site_fract_x
_atom_site_fract_y
_atom_site_fract_z
K1 0.0000 0.0000 0.0000
K2 0.0000 0.5000 0.0000
Np1 0.0000 0.5000 0.5000
U1 0.0000 0.0000 0.5000
S1 0.0000 0.0000 0.2336
S2 0.0027 0.5013 0.2338
```

Most intense lines, 5° ≤ 2θ ≤ 70°, by intensity:
| two_theta | intensity | hkl |
| --- | --- | --- |
| 12.0 | 1000 | 0 0 3 |
| 30.0 | 939 | 0 2 4 |
| 26.5 | 476 | 2 0 2 |
| 25.6 | 407 | 0 2 1 |
| 41.5 | 350 | 2 0 8 |
| 44.5 | 323 | 2 2 0 |
| 38.2 | 242 | 0 2 7 |
| 46.2 | 235 | 2 2 3 |
| 24.1 | 221 | 0 0 6 |
| 51.2 | 187 | 2 2 6 |



Question: What is the formula in the first record?
Answer: NiSb2



Question: What is the formula in the third record?
Answer: K4Np3US8



Question: What is the formula in the second record?
Answer: Cs2GaHgBi